Structure and computed X-ray powder pattern of Tb5Tl3In (a crystal structure in Alexandria, relaxed with GGA-PBE; Cu Kα X-rays).
Intensities are scaled so that the largest is 100.

Structural model:
abc: 9.3672 9.3672 6.6874
angles: 90.00 90.00 120.00
Space group P6_3/mcm (No. 193)
Symmetry-distinct sites (fractional):
Tb 0.0000 0.2877 0.2500 x6
Tb 0.3333 0.6667 0.0000 x4
Tl 0.0000 0.3734 0.7500 x6
In 0.0000 0.0000 0.0000 x2

Peak list (10 most intense, 2θ from 15° to 90°, low angle first)
| 2θ (°) | I/Imax | h k l |
| --- | --- | --- |
| 26.7 | 13 | 0 0 2 |
| 32.1 | 38 | 2 1 1 |
| 32.9 | 100 | 1 1 2 |
| 33.1 | 94 | 3 0 0 |
| 42.4 | 16 | 3 1 1 |
| 47.4 | 29 | 2 2 2 |
| 50.6 | 11 | 2 1 3 |
| 59.0 | 23 | 4 1 2 |
| 62.1 | 14 | 4 2 1 |
| 65.6 | 37 | 3 0 4 |

=====

Structure and computed X-ray powder pattern of Nd3Cd3Hg (a crystal structure in Alexandria, relaxed with GGA-PBE; Cu Kα X-rays).
Intensities are scaled so that the largest is 100.

Structural model:
abc: 3.5649 5.0295 21.4759
angles: 90.00 90.00 90.00
Space group Imm2 (No. 44)
Symmetry-distinct sites (fractional):
Nd 0.0000 0.0000 0.0000 x2
Nd 0.0000 0.0000 0.3945 x2
Nd 0.0000 0.5000 0.2004 x2
Cd 0.0000 0.0000 0.5569 x2
Cd 0.0000 0.0000 0.8412 x2
Cd 0.0000 0.5000 0.6304 x2
Hg 0.0000 0.5000 0.7649 x2

Peak list (10 most intense, 2θ from 15° to 90°, low angle first)
| 2θ (°) | I/Imax | h k l |
| --- | --- | --- |
| 31.9 | 100 | 1 1 2 |
| 32.6 | 50 | 1 0 5 |
| 34.2 | 82 | 0 1 7 |
| 35.7 | 44 | 0 2 0 |
| 39.9 | 19 | 1 1 6 |
| 49.1 | 32 | 1 2 5 |
| 51.3 | 16 | 2 0 0 |
| 61.8 | 15 | 1 3 2 |
| 63.1 | 27 | 2 1 7 |
| 64.0 | 16 | 2 2 0 |

=====

Structure and computed X-ray powder pattern of UH2Cl2O3 (a crystal structure in Alexandria, relaxed with GGA-PBE; Cu Kα X-rays).
Intensities are scaled so that the largest is 100.

Structural model:
abc: 5.9672 8.7558 6.2014
angles: 90.00 106.12 90.00
Space group P2_1/m (No. 11)
Symmetry-distinct sites (fractional):
U 0.0738 0.2500 0.0919 x2
H 0.4589 0.1610 0.5355 x4
Cl 0.1925 0.5511 0.2372 x4
O 0.1510 0.7500 0.7696 x2
O 0.2954 0.2500 0.9494 x2
O 0.3704 0.2500 0.4617 x2

Peak list (10 most intense, 2θ from 15° to 90°, low angle first)
| 2θ (°) | I/Imax | h k l |
| --- | --- | --- |
| 15.5 | 79 | 1 0 0 |
| 18.0 | 31 | 0 1 1 |
| 18.3 | 100 | 1 0 -1 |
| 20.3 | 44 | 0 2 0 |
| 25.2 | 37 | 0 2 1 |
| 25.6 | 31 | 1 2 0 |
| 26.4 | 37 | 1 1 1 |
| 27.4 | 22 | 1 2 -1 |
| 37.0 | 25 | 2 0 -2 |
| 39.1 | 29 | 1 1 2 |

=====

Structure and computed X-ray powder pattern of LaCeSeS (a crystal structure in Alexandria, relaxed with GGA-PBE; Cu Kα X-rays).
Intensities are scaled so that the largest is 100.

Structural model:
abc: 4.1617 4.1617 20.6361
angles: 90.00 90.00 120.00
Space group R3m (No. 160, hexagonal axes)
Symmetry-distinct sites (fractional):
La 0.0000 0.0000 0.0000 x3
Ce 0.0000 0.0000 0.4893 x3
Se 0.0000 0.0000 0.2421 x3
S 0.0000 0.0000 0.7470 x3

Peak list (10 most intense, 2θ from 15° to 90°, low angle first)
| 2θ (°) | I/Imax | h k l |
| --- | --- | --- |
| 25.9 | 8 | 0 0 6 |
| 26.2 | 25 | 0 1 2 |
| 30.2 | 100 | 1 0 4 |
| 43.1 | 36 | 0 1 8 |
| 43.5 | 37 | 1 1 0 |
| 53.9 | 19 | 0 2 4 |
| 62.9 | 11 | 2 0 8 |
| 71.1 | 15 | 1 1 12 |
| 71.7 | 16 | 2 1 4 |
| 79.6 | 12 | 1 2 8 |